Diffraction record for Li4Co7O3F13. The powder diffraction line list is theoretical, not measured: it uses a structure optimized by DFT (GGA+U) and Cu Kα (weighted mean of Kα1 and Kα2).
Neutral-atom scattering factors, no anomalous dispersion.

Crystal structure
```
data_Li4Co7O3F13
_chemical_formula_sum 'Li4 Co7 O3 F13'
_cell_length_a 5.378
_cell_length_b 6.128
_cell_length_c 10.626
_cell_angle_alpha 98.39
_cell_angle_beta 100.81
_cell_angle_gamma 110.58
_symmetry_space_group_name_H-M 'P 1'
_symmetry_Int_Tables_number 1
loop_
_symmetry_equiv_pos_as_xyz
'x,y,z'
loop_
_atom_site_label
_atom_site_type_symbol
_atom_site_fract_x
_atom_site_fract_y
_atom_site_fract_z
Li1 Li 0.000 0.000 0.000
Li2 Li 0.018 0.487 0.995
Li3 Li 0.192 0.129 0.340
Li4 Li 0.569 0.936 0.421
Co1 Co 0.143 0.943 0.636
Co2 Co 0.154 0.405 0.648
Co3 Co 0.603 0.135 0.118
Co4 Co 0.611 0.644 0.126
Co5 Co 0.735 0.125 0.737
Co6 Co 0.740 0.583 0.765
Co7 Co 0.887 0.531 0.381
O1 O 0.011 0.436 0.806
O2 O 0.450 0.260 0.691
O3 O 0.842 0.060 0.586
F1 F 0.005 0.933 0.812
F2 F 0.150 0.381 0.446
F3 F 0.193 0.875 0.436
F4 F 0.332 0.295 0.070
F5 F 0.333 0.792 0.076
F6 F 0.438 0.773 0.704
F7 F 0.564 0.185 0.315
F8 F 0.615 0.679 0.319
F9 F 0.739 0.145 0.952
F10 F 0.753 0.654 0.964
F11 F 0.879 0.587 0.577
F12 F 0.892 0.484 0.183
F13 F 0.900 0.000 0.179
```

Most intense lines, 2θ = 5–70°, most intense first:
d 2.254, 2θ = 40.00°, I 100
d 5.078, 2θ = 17.46°, I 98
d 2.074, 2θ = 43.63°, I 84
d 2.094, 2θ = 43.20°, I 82
d 4.003, 2θ = 22.21°, I 60
d 10.157, 2θ = 8.71°, I 59
d 4.908, 2θ = 18.07°, I 55
d 4.864, 2θ = 18.24°, I 52
d 3.386, 2θ = 26.32°, I 47
d 4.077, 2θ = 21.80°, I 45